# 1
Computed powder X-ray diffraction pattern of PmPuMgHg for Cu Kα, 1.54184 Å, from a cell relaxed with GGA-PBE.
Kinematic intensities with the Lorentz-polarization factor, no thermal factor.

Most intense lines, 2θ = 10–90°, by intensity:
2θ = 33.3°, intensity 100; 2θ = 59.5°, intensity 39; 2θ = 20.2°, intensity 23; 2θ = 47.8°, intensity 18; 2θ = 79.7°, intensity 17; 2θ = 39.3°, intensity 13; 2θ = 69.9°, intensity 12; 2θ = 23.4°, intensity 8; 2θ = 52.4°, intensity 6; 2θ = 63.5°, intensity 5; 2θ = 73.6°, intensity 5; 2θ = 89.1°, intensity 4

Structure:
Cell: 7.611 7.611 7.611 Å, 90.00 90.00 90.00°
Space group F-43m (No. 216)
Symmetry-distinct sites (fractional):
Pm 0.000 0.000 0.000 [4 per cell]
Pu 0.000 0.000 0.500 [4 per cell]
Mg 0.250 0.250 0.750 [4 per cell]
Hg 0.250 0.250 0.250 [4 per cell]

# 2
Computed powder X-ray diffraction pattern of GeBr for Cu Kα, 1.54184 Å, from a cell relaxed with GGA-PBE.
Kinematic intensities with the Lorentz-polarization factor, no thermal factor.

Most intense lines, 2θ = 10–90°, by intensity:
2θ = 23.5°, intensity 100; 2θ = 13.9°, intensity 69; 2θ = 23.0°, intensity 66; 2θ = 23.1°, intensity 60; 2θ = 30.9°, intensity 59; 2θ = 41.9°, intensity 50; 2θ = 35.0°, intensity 45; 2θ = 34.6°, intensity 42; 2θ = 51.1°, intensity 36; 2θ = 41.2°, intensity 19; 2θ = 35.8°, intensity 18; 2θ = 53.3°, intensity 16

Structure:
Cell: 4.314 5.625 6.761 Å, 90.13 107.56 112.23°
Space group P-1 (No. 2)
Symmetry-distinct sites (fractional):
Ge 0.167 0.370 0.460 [2 per cell]
Br 0.219 0.167 0.782 [2 per cell]

# 3
Computed powder X-ray diffraction pattern of Pu2SNCl2 for Cu Kα, 1.54184 Å, from a cell relaxed with GGA-PBE.
Kinematic intensities with the Lorentz-polarization factor, no thermal factor.

Most intense lines, 2θ = 10–90°, by intensity:
2θ = 27.8°, intensity 100; 2θ = 28.5°, intensity 65; 2θ = 15.0°, intensity 47; 2θ = 31.3°, intensity 47; 2θ = 38.6°, intensity 45; 2θ = 25.4°, intensity 40; 2θ = 35.5°, intensity 33; 2θ = 50.0°, intensity 26; 2θ = 57.9°, intensity 24; 2θ = 35.7°, intensity 23; 2θ = 57.3°, intensity 19; 2θ = 46.3°, intensity 19

Structure:
Cell: 3.833 10.842 7.012 Å, 90.00 90.00 90.00°
Space group Pmc2_1 (No. 26)
Symmetry-distinct sites (fractional):
Pu 0.000 0.064 0.000 [2 per cell]
Pu 0.500 0.224 0.397 [2 per cell]
S 0.500 0.069 0.693 [2 per cell]
N 0.000 0.124 0.331 [2 per cell]
Cl 0.000 0.389 0.513 [2 per cell]
Cl 0.500 0.270 0.021 [2 per cell]

# 4
Computed powder X-ray diffraction pattern of La2PmPr4Mg for Cu Kα, 1.54184 Å, from a cell relaxed with GGA-PBE.
Kinematic intensities with the Lorentz-polarization factor, no thermal factor.

Most intense lines, 2θ = 10–90°, by intensity:
2θ = 29.9°, intensity 100; 2θ = 30.1°, intensity 98; 2θ = 34.9°, intensity 66; 2θ = 49.8°, intensity 48; 2θ = 34.3°, intensity 34; 2θ = 59.4°, intensity 28; 2θ = 81.2°, intensity 17; 2θ = 58.9°, intensity 15; 2θ = 58.8°, intensity 15; 2θ = 59.8°, intensity 14; 2θ = 59.9°, intensity 14; 2θ = 62.0°, intensity 12

Structure:
Cell: 7.300 10.443 7.223 Å, 90.00 90.11 90.00°
Space group C2/m (No. 12)
Symmetry-distinct sites (fractional):
La 0.000 0.000 0.000 [2 per cell]
La 0.000 0.500 0.500 [2 per cell]
Pm 0.000 0.000 0.500 [2 per cell]
Pr 0.250 0.250 0.246 [8 per cell]
Mg 0.000 0.500 0.000 [2 per cell]

# 5
Computed powder X-ray diffraction pattern of Ho3SiPt2 for Cu Kα, 1.54184 Å, from a cell relaxed with GGA-PBE.
Kinematic intensities with the Lorentz-polarization factor, no thermal factor.

Most intense lines, 2θ = 10–90°, by intensity:
2θ = 32.0°, intensity 100; 2θ = 32.9°, intensity 75; 2θ = 35.7°, intensity 51; 2θ = 41.4°, intensity 48; 2θ = 31.0°, intensity 43; 2θ = 44.3°, intensity 40; 2θ = 45.9°, intensity 39; 2θ = 27.9°, intensity 36; 2θ = 39.1°, intensity 35; 2θ = 34.8°, intensity 26; 2θ = 65.7°, intensity 24; 2θ = 55.7°, intensity 19

Structure:
Cell: 11.512 4.087 11.534 Å, 90.00 90.00 90.00°
Space group Pnma (No. 62)
Symmetry-distinct sites (fractional):
Ho 0.054 0.250 0.120 [4 per cell]
Ho 0.119 0.750 0.561 [4 per cell]
Ho 0.199 0.250 0.810 [4 per cell]
Si 0.126 0.250 0.369 [4 per cell]
Pt 0.020 0.750 0.309 [4 per cell]
Pt 0.186 0.750 0.989 [4 per cell]

# 6
Computed powder X-ray diffraction pattern of Fe2Rh for Cu Kα, 1.54184 Å, from a cell relaxed with GGA-PBE.
Kinematic intensities with the Lorentz-polarization factor, no thermal factor.

Most intense lines, 2θ = 10–90°, by intensity:
2θ = 43.3°, intensity 100; 2θ = 42.1°, intensity 96; 2θ = 44.9°, intensity 45; 2θ = 45.7°, intensity 44; 2θ = 66.0°, intensity 26; 2θ = 12.0°, intensity 22; 2θ = 41.5°, intensity 17; 2θ = 33.1°, intensity 16; 2θ = 57.8°, intensity 14; 2θ = 82.4°, intensity 14; 2θ = 82.8°, intensity 14; 2θ = 82.1°, intensity 13

Structure:
Cell: 2.620 3.970 7.431 Å, 90.00 96.69 90.00°
Space group P2_1/m (No. 11)
Symmetry-distinct sites (fractional):
Fe 0.081 0.250 0.240 [2 per cell]
Fe 0.344 0.750 0.073 [2 per cell]
Rh 0.283 0.250 0.596 [2 per cell]

Q: Which formula does entry 3 have?
A: Pu2SNCl2